The following is a theoretical PXRD pattern of Li2Cu3F8. It was derived from a crystal structure in the Materials Project, relaxed with PBE, using copper Kα.

Largest 8 diffraction maxima, by angle, 2θ from 5° to 70°:
| 2θ (°) | d/Å | intensity |
| --- | --- | --- |
| 19.23 | 4.616 | 27 |
| 19.39 | 4.577 | 100 |
| 34.93 | 2.568 | 18 |
| 35.02 | 2.562 | 21 |
| 45.00 | 2.014 | 18 |
| 45.19 | 2.006 | 17 |
| 45.39 | 1.998 | 18 |
| 60.43 | 1.532 | 18 |

Structural model:
Cell lengths 6.128, 6.128, 9.155 Å; angles 90.13, 90.13, 119.28 degrees
Fractional coordinates of all 26 atoms:
Li (0.166, 0.830, 0.123)
Li (0.166, 0.834, 0.500)
Li (0.830, 0.166, 0.623)
Li (0.834, 0.166, 0.000)
Cu (0.168, 0.330, 0.289)
Cu (0.330, 0.168, 0.789)
Cu (0.336, 0.665, 0.792)
Cu (0.660, 0.828, 0.289)
Cu (0.665, 0.336, 0.292)
Cu (0.828, 0.660, 0.789)
F (0.018, 0.472, 0.163)
F (0.038, 0.527, 0.667)
F (0.161, 0.299, 0.901)
F (0.172, 0.828, 0.911)
F (0.299, 0.161, 0.401)
F (0.355, 0.688, 0.397)
F (0.472, 0.018, 0.663)
F (0.491, 0.502, 0.677)
F (0.502, 0.491, 0.177)
F (0.527, 0.038, 0.167)
F (0.644, 0.832, 0.899)
F (0.688, 0.355, 0.897)
F (0.828, 0.172, 0.411)
F (0.832, 0.644, 0.399)
F (0.956, 0.983, 0.167)
F (0.983, 0.956, 0.667)



The following is a theoretical PXRD pattern of Li3CuF5. It was derived from a crystal structure in the Materials Project, relaxed with PBE, using copper Kα.

Largest 8 diffraction maxima, by angle, 2θ from 5° to 70°:
| 2θ (°) | d/Å | intensity |
| --- | --- | --- |
| 17.15 | 5.170 | 100 |
| 29.93 | 2.985 | 15 |
| 30.18 | 2.961 | 27 |
| 34.70 | 2.585 | 12 |
| 35.06 | 2.559 | 15 |
| 35.35 | 2.539 | 15 |
| 41.17 | 2.192 | 12 |
| 46.48 | 1.954 | 27 |

Structural model:
Cell lengths 6.192, 6.192, 6.819 Å; angles 105.49, 105.49, 57.68 degrees
Fractional coordinates of all 18 atoms:
Li (0.011, 0.989, 0.750)
Li (0.051, 0.449, 0.828)
Li (0.449, 0.051, 0.328)
Li (0.551, 0.949, 0.672)
Li (0.949, 0.551, 0.172)
Li (0.989, 0.011, 0.250)
Cu (0.500, 0.500, 0.000)
Cu (0.500, 0.500, 0.500)
F (0.041, 0.729, 0.043)
F (0.239, 0.415, 0.369)
F (0.271, 0.959, 0.457)
F (0.331, 0.669, 0.750)
F (0.415, 0.239, 0.869)
F (0.585, 0.761, 0.131)
F (0.669, 0.331, 0.250)
F (0.729, 0.041, 0.543)
F (0.761, 0.585, 0.631)
F (0.959, 0.271, 0.957)



The following is a theoretical PXRD pattern of Li2Cu3F8. It was derived from a crystal structure in the Materials Project, relaxed with PBE, using copper Kα.

Largest 8 diffraction maxima, by angle, 2θ from 5° to 70°:
| 2θ (°) | d/Å | intensity |
| --- | --- | --- |
| 17.73 | 5.003 | 100 |
| 29.62 | 3.016 | 22 |
| 29.83 | 2.996 | 35 |
| 32.67 | 2.741 | 28 |
| 32.87 | 2.724 | 28 |
| 41.86 | 2.158 | 21 |
| 42.54 | 2.125 | 16 |
| 44.61 | 2.031 | 16 |

Structural model:
Cell lengths 5.595, 5.630, 5.682 Å; angles 73.98, 74.29, 65.01 degrees
Fractional coordinates of all 13 atoms:
Li (0.000, 0.000, 0.000)
Li (0.211, 0.193, 0.367)
Cu (0.350, 0.506, 0.756)
Cu (0.648, 0.553, 0.187)
Cu (0.695, 0.840, 0.618)
F (0.389, 0.255, 0.565)
F (0.389, 0.259, 0.049)
F (0.423, 0.768, 0.923)
F (0.431, 0.777, 0.450)
F (0.850, 0.342, 0.434)
F (0.871, 0.361, 0.938)
F (0.935, 0.827, 0.321)
F (0.947, 0.820, 0.800)



The following is a theoretical PXRD pattern of Li6Cu5F14. It was derived from a crystal structure in the Materials Project, relaxed with PBE, using copper Kα.

Largest 8 diffraction maxima, by angle, 2θ from 5° to 70°:
| 2θ (°) | d/Å | intensity |
| --- | --- | --- |
| 17.98 | 4.934 | 100 |
| 22.64 | 3.928 | 26 |
| 24.95 | 3.569 | 47 |
| 27.31 | 3.265 | 23 |
| 29.06 | 3.073 | 23 |
| 30.93 | 2.892 | 51 |
| 43.11 | 2.098 | 29 |
| 44.21 | 2.049 | 25 |

Structural model:
Cell lengths 7.861, 7.861, 9.868 Å; angles 90.00, 90.00, 87.78 degrees
Fractional coordinates of all 50 atoms:
Li (0.011, 0.989, 0.500)
Li (0.176, 0.334, 0.989)
Li (0.205, 0.500, 0.448)
Li (0.316, 0.684, 0.012)
Li (0.334, 0.176, 0.489)
Li (0.500, 0.205, 0.948)
Li (0.500, 0.795, 0.448)
Li (0.666, 0.824, 0.989)
Li (0.684, 0.316, 0.512)
Li (0.795, 0.500, 0.948)
Li (0.824, 0.666, 0.489)
Li (0.989, 0.011, 0.000)
Cu (0.015, 0.627, 0.749)
Cu (0.043, 0.244, 0.713)
Cu (0.244, 0.043, 0.213)
Cu (0.373, 0.985, 0.749)
Cu (0.489, 0.511, 0.722)
Cu (0.511, 0.489, 0.222)
Cu (0.627, 0.015, 0.249)
Cu (0.756, 0.957, 0.713)
Cu (0.957, 0.756, 0.213)
Cu (0.985, 0.373, 0.249)
F (0.006, 0.420, 0.870)
F (0.048, 0.201, 0.109)
F (0.062, 0.938, 0.320)
F (0.133, 0.453, 0.629)
F (0.150, 0.850, 0.069)
F (0.168, 0.278, 0.371)
F (0.201, 0.048, 0.609)
F (0.278, 0.168, 0.871)
F (0.290, 0.474, 0.101)
F (0.325, 0.675, 0.811)
F (0.407, 0.593, 0.394)
F (0.420, 0.006, 0.370)
F (0.453, 0.133, 0.129)
F (0.474, 0.290, 0.601)
F (0.526, 0.710, 0.101)
F (0.547, 0.867, 0.629)
F (0.580, 0.994, 0.870)
F (0.593, 0.407, 0.894)
F (0.675, 0.325, 0.311)
F (0.710, 0.526, 0.601)
F (0.722, 0.832, 0.371)
F (0.799, 0.952, 0.109)
F (0.832, 0.722, 0.871)
F (0.850, 0.150, 0.569)
F (0.867, 0.547, 0.129)
F (0.938, 0.062, 0.820)
F (0.952, 0.799, 0.609)
F (0.994, 0.580, 0.370)